MgIn5Rh6: simulated X-ray powder pattern (Cu Kα (weighted mean of Kα1 and Kα2)), based on DFT lattice parameters and positions (PBE).
No peak broadening, texture or thermal motion is included.

The 6 most intense peaks (2θ = 10–80°), sorted by position:
2theta	Rel. int.
24.84	1
39.63	100
57.20	6
57.34	11
71.88	22
71.97	11

Structure:
a b c (Å): 7.1835 7.1835 6.4420
angles (deg): 90.00 90.00 143.10
Fractional positions:
1 Mg 0.0000 0.0000 0.0000
2 In 0.0000 0.0000 0.5000
3 In 0.3333 0.6667 0.5000
4 In 0.3368 0.6632 0.0000
5 In 0.6632 0.3368 0.0000
6 In 0.6667 0.3333 0.5000
7 Rh 0.1672 0.8328 0.2488
8 Rh 0.1672 0.8328 0.7512
9 Rh 0.5000 0.5000 0.2519
10 Rh 0.5000 0.5000 0.7481
11 Rh 0.8328 0.1672 0.2488
12 Rh 0.8328 0.1672 0.7512


Ni2Te3Cl: simulated X-ray powder pattern (Cu Kα (weighted mean of Kα1 and Kα2)), based on DFT lattice parameters and positions (PBE).
No peak broadening, texture or thermal motion is included.

The 6 most intense peaks (2θ = 10–80°), sorted by position:
2theta	Rel. int.
31.63	100
43.65	33
46.99	34
57.75	17
59.28	26
77.54	14

Structure:
a b c (Å): 7.7353 7.7353 5.2806
angles (deg): 90.00 90.00 120.00
Fractional positions:
1 Ni 0.0000 0.0000 0.0000
2 Ni 0.0000 0.5000 0.0000
3 Ni 0.5000 0.0000 0.0000
4 Ni 0.5000 0.5000 0.0000
5 Te 0.1668 0.3335 0.7627
6 Te 0.1668 0.8332 0.7627
7 Te 0.3335 0.1668 0.2373
8 Te 0.6665 0.8332 0.7627
9 Te 0.8332 0.1668 0.2373
10 Te 0.8332 0.6665 0.2373
11 Cl 0.3333 0.6667 0.2695
12 Cl 0.6667 0.3333 0.7305


Na2CaHg5: simulated X-ray powder pattern (Cu Kα (weighted mean of Kα1 and Kα2)), based on DFT lattice parameters and positions (PBE).
No peak broadening, texture or thermal motion is included.

The 6 most intense peaks (2θ = 10–80°), sorted by position:
2theta	Rel. int.
19.69	19
26.43	19
33.17	100
37.72	36
56.15	22
65.23	29

Structure:
a b c (Å): 9.6262 9.6262 9.6262
angles (deg): 151.31 151.31 41.02
Fractional positions:
1 Na 0.2503 0.2503 0.0000
2 Na 0.7497 0.7497 0.0000
3 Ca 0.0000 0.0000 0.0000
4 Hg 0.1282 0.6282 0.5000
5 Hg 0.3718 0.8718 0.5000
6 Hg 0.5000 0.5000 0.0000
7 Hg 0.6282 0.1282 0.5000
8 Hg 0.8718 0.3718 0.5000


In2AgCl6: simulated X-ray powder pattern (Cu Kα (weighted mean of Kα1 and Kα2)), based on DFT lattice parameters and positions (PBE).
No peak broadening, texture or thermal motion is included.

The 6 most intense peaks (2θ = 10–80°), sorted by position:
2theta	Rel. int.
13.51	48
14.36	35
20.56	100
22.06	59
24.10	51
25.91	31

Structure:
a b c (Å): 9.2315 9.2315 7.9353
angles (deg): 105.79 105.79 83.82
Fractional positions:
1 In 0.1058 0.3158 0.2686
2 In 0.3158 0.1058 0.7686
3 In 0.6842 0.8942 0.2314
4 In 0.8942 0.6842 0.7314
5 Ag 0.4199 0.5801 0.7500
6 Ag 0.5801 0.4199 0.2500
7 Cl 0.1259 0.1485 0.9585
8 Cl 0.1333 0.5365 0.7543
9 Cl 0.1485 0.1259 0.4585
10 Cl 0.3110 0.4926 0.3652
11 Cl 0.4635 0.8667 0.7457
12 Cl 0.4926 0.3110 0.8652
13 Cl 0.5074 0.6890 0.1348
14 Cl 0.5365 0.1333 0.2543
15 Cl 0.6890 0.5074 0.6348
16 Cl 0.8515 0.8741 0.5415
17 Cl 0.8667 0.4635 0.2457
18 Cl 0.8741 0.8515 0.0415


La2CeOs2: simulated X-ray powder pattern (Cu Kα (weighted mean of Kα1 and Kα2)), based on DFT lattice parameters and positions (PBE).
No peak broadening, texture or thermal motion is included.

The 6 most intense peaks (2θ = 10–80°), sorted by position:
2theta	Rel. int.
18.20	40
31.45	95
34.44	40
38.02	100
41.47	34
60.82	43

Structure:
a b c (Å): 6.0969 6.0969 6.0969
angles (deg): 138.15 122.22 73.86
Fractional positions:
1 La 0.1943 0.1943 0.0000
2 La 0.8057 0.8057 0.0000
3 Ce 0.5000 0.0000 0.5000
4 Os 0.2351 0.5000 0.7351
5 Os 0.7649 0.5000 0.2649


Dy2Zn3Ga: simulated X-ray powder pattern (Cu Kα (weighted mean of Kα1 and Kα2)), based on DFT lattice parameters and positions (PBE).
No peak broadening, texture or thermal motion is included.

The 6 most intense peaks (2θ = 10–80°), sorted by position:
2theta	Rel. int.
23.06	20
34.42	100
40.51	55
54.18	27
67.69	23
69.83	17

Structure:
a b c (Å): 3.5343 4.4599 7.7026
angles (deg): 90.00 90.00 90.00
Fractional positions:
1 Dy 0.0000 0.0000 0.0000
2 Dy 0.0000 0.5000 0.4993
3 Zn 0.5000 0.0000 0.6698
4 Zn 0.5000 0.5000 0.1631
5 Zn 0.5000 0.5000 0.8307
6 Ga 0.5000 0.0000 0.3341


Th4PbC: simulated X-ray powder pattern (Cu Kα (weighted mean of Kα1 and Kα2)), based on DFT lattice parameters and positions (PBE).
No peak broadening, texture or thermal motion is included.

The 6 most intense peaks (2θ = 10–80°), sorted by position:
2theta	Rel. int.
28.83	100
30.81	93
31.02	27
34.17	42
59.62	19
60.08	30

Structure:
a b c (Å): 6.4045 6.4045 6.4045
angles (deg): 131.63 91.97 107.53
Fractional positions:
1 Th 0.0000 0.0000 0.0000
2 Th 0.2878 0.7878 0.5000
3 Th 0.3051 0.5104 0.7947
4 Th 0.7157 0.5104 0.2053
5 Pb 0.7178 0.2178 0.5000
6 C 0.3116 0.3116 0.0000


NaO: simulated X-ray powder pattern (Cu Kα (weighted mean of Kα1 and Kα2)), based on DFT lattice parameters and positions (PBE).
No peak broadening, texture or thermal motion is included.

The 6 most intense peaks (2θ = 10–80°), sorted by position:
2theta	Rel. int.
34.85	100
38.70	20
49.84	32
50.38	51
62.72	12
69.40	11

Structure:
a b c (Å): 6.2749 6.2749 4.5041
angles (deg): 90.00 90.00 120.00
Fractional positions:
1 Na 0.0000 0.3656 0.0000
2 Na 0.0000 0.6998 0.5000
3 Na 0.3002 0.3002 0.5000
4 Na 0.3656 0.0000 0.0000
5 Na 0.6344 0.6344 0.0000
6 Na 0.6998 0.0000 0.5000
7 O 0.0000 0.0000 0.1706
8 O 0.0000 0.0000 0.8294
9 O 0.3333 0.6667 0.3274
10 O 0.3333 0.6667 0.6726
11 O 0.6667 0.3333 0.3274
12 O 0.6667 0.3333 0.6726